Diffraction record for Cd5SbPd6. The powder XRD pattern is calculated, not measured: it uses a crystal structure in Alexandria, relaxed with PBE and Cu Kα.

```
data_Cd5SbPd6
_chemical_formula_sum 'Cd10 Sb2 Pd12'
_cell_length_a 8.1763
_cell_length_b 13.6929
_cell_length_c 4.5813
_cell_angle_alpha 90.00
_cell_angle_beta 123.83
_cell_angle_gamma 90.00
_space_group_name_H-M_alt 'C 1 2/m 1'
_space_group_IT_number 12
loop_
_space_group_symop_operation_xyz
'x,y,z'
'-x,-y,-z'
'-x,y,-z'
'x,-y,z'
'x+1/2,y+1/2,z'
'-x+1/2,-y+1/2,-z'
'-x+1/2,y+1/2,-z'
'x+1/2,-y+1/2,z'
loop_
_atom_site_label
_atom_site_type_symbol
_atom_site_fract_x
_atom_site_fract_y
_atom_site_fract_z
Cd1 Cd 0.0000 0.0000 0.0000
Cd2 Cd 0.0000 0.1631 0.5000
Cd3 Cd 0.0000 0.3197 0.0000
Sb1 Sb 0.0000 0.5000 0.5000
Pd1 Pd 0.2295 0.5000 0.2289
Pd2 Pd 0.2386 0.3395 0.7392
```

Main lines, by angle (10 to 80 degrees two-theta):
hkl 1 3 1, d = 2.345 Å, 38.4°, I = 100.0
hkl 3 3 -1, d = 2.338 Å, 38.5°, I = 98.3
hkl 2 0 -2, d = 2.291 Å, 39.3°, I = 47.8
hkl 0 6 0, d = 2.282 Å, 39.5°, I = 44.3
hkl 4 0 0, d = 1.698 Å, 54.0°, I = 17.3
hkl 2 6 -2, d = 1.617 Å, 57.0°, I = 29.4
hkl 6 0 -2, d = 1.362 Å, 69.0°, I = 23.3
hkl 1 3 -3, d = 1.334 Å, 70.6°, I = 15.8
hkl 5 3 -3, d = 1.330 Å, 70.9°, I = 29.1
hkl 3 9 -1, d = 1.328 Å, 71.0°, I = 13.5

Diffraction record for AcPrAsS. The powder XRD pattern is calculated, not measured: it uses a crystal structure in Alexandria, relaxed with PBE and Cu Kα.

```
data_AcPrAsS
_chemical_formula_sum 'Ac3 Pr3 As3 S3'
_cell_length_a 4.3333
_cell_length_b 4.3333
_cell_length_c 21.1084
_cell_angle_alpha 90.00
_cell_angle_beta 90.00
_cell_angle_gamma 120.00
_space_group_name_H-M_alt 'R 3 m'
_space_group_IT_number 160
_space_group_name_Hall 'R 3 -2"'
loop_
_atom_site_label
_atom_site_type_symbol
_atom_site_fract_x
_atom_site_fract_y
_atom_site_fract_z
Ac1 Ac 0.0000 0.0000 0.0000
Pr1 Pr 0.0000 0.0000 0.4989
As1 As 0.0000 0.0000 0.2453
S1 S 0.0000 0.0000 0.7530
```

Main lines, by angle (10 to 80 degrees two-theta):
hkl 0 1 2, d = 3.536 Å, 25.2°, I = 39.9
hkl 0 0 6, d = 3.518 Å, 25.3°, I = 13.3
hkl 1 0 4, d = 3.058 Å, 29.2°, I = 100.0
hkl 1 1 0, d = 2.167 Å, 41.7°, I = 38.2
hkl 0 1 8, d = 2.158 Å, 41.9°, I = 37.4
hkl 1 1 6, d = 1.846 Å, 49.4°, I = 20.9
hkl 0 2 4, d = 1.768 Å, 51.7°, I = 20.4
hkl 2 1 4, d = 1.370 Å, 68.5°, I = 17.6
hkl 1 1 12, d = 1.366 Å, 68.7°, I = 17.1
hkl 1 2 8, d = 1.249 Å, 76.2°, I = 13.0

Diffraction record for PmHoZn10. The powder XRD pattern is calculated, not measured: it uses a crystal structure in Alexandria, relaxed with PBE and Cu Kα.

```
data_PmHoZn10
_chemical_formula_sum 'Pm1 Ho1 Zn10'
_cell_length_a 4.2247
_cell_length_b 5.3390
_cell_length_c 9.2226
_cell_angle_alpha 90.00
_cell_angle_beta 90.00
_cell_angle_gamma 90.00
_space_group_name_H-M_alt 'P m m m'
_space_group_IT_number 47
loop_
_space_group_symop_operation_xyz
'x,y,z'
'-x,-y,-z'
'-x,-y,z'
'x,y,-z'
'x,-y,-z'
'-x,y,z'
'-x,y,-z'
'x,-y,z'
loop_
_atom_site_label
_atom_site_type_symbol
_atom_site_fract_x
_atom_site_fract_y
_atom_site_fract_z
Pm1 Pm 0.0000 0.0000 0.0000
Ho1 Ho 0.0000 0.5000 0.5000
Zn1 Zn 0.0000 0.0000 0.3376
Zn2 Zn 0.0000 0.5000 0.1706
Zn3 Zn 0.5000 0.0000 0.5000
Zn4 Zn 0.5000 0.2513 0.2524
Zn5 Zn 0.5000 0.5000 0.0000
```

Main lines, by angle (10 to 80 degrees two-theta):
hkl 1 0 2, d = 3.117 Å, 28.6°, I = 43.0
hkl 0 2 0, d = 2.666 Å, 33.6°, I = 30.2
hkl 0 2 2, d = 2.309 Å, 39.0°, I = 34.9
hkl 1 2 0, d = 2.255 Å, 40.0°, I = 100.0
hkl 2 0 0, d = 2.112 Å, 42.8°, I = 26.5
hkl 2 2 0, d = 1.656 Å, 55.5°, I = 14.3
hkl 2 2 2, d = 1.558 Å, 59.3°, I = 20.0
hkl 1 3 3, d = 1.447 Å, 64.4°, I = 15.6
hkl 0 2 6, d = 1.332 Å, 70.7°, I = 11.1
hkl 3 2 0, d = 1.245 Å, 76.5°, I = 17.6